# 1
# SrAg2O4
Simulated powder XRD pattern, copper Kα. Input: a DFT-relaxed cell (GGA-PBE, Alexandria).
Neutral-atom scattering factors, no anomalous dispersion.

Structure:
Cell lengths 6.800, 6.800, 6.800 Å; angles 125.25, 125.25, 81.12 degrees
Atoms (fractional coordinates):
1 Sr 0.375 0.125 0.250
2 Sr 0.625 0.875 0.750
3 Ag 0.000 0.000 0.500
4 Ag 0.000 0.500 0.000
5 Ag 0.000 0.500 0.500
6 Ag 0.500 0.500 0.000
7 O 0.029 0.709 0.887
8 O 0.209 0.822 0.679
9 O 0.322 0.142 0.613
10 O 0.358 0.471 0.179
11 O 0.642 0.529 0.821
12 O 0.678 0.858 0.387
13 O 0.791 0.178 0.321
14 O 0.971 0.291 0.113

Main lines, in order of rising 2θ (15° ≤ 2θ ≤ 90°):
- 16.57°, d 5.350, rel. 23
- 26.53°, d 3.359, rel. 17
- 29.61°, d 3.017, rel. 46
- 33.19°, d 2.700, rel. 100
- 33.50°, d 2.675, rel. 64
- 46.27°, d 1.962, rel. 21
- 51.23°, d 1.783, rel. 17
- 53.58°, d 1.711, rel. 20
- 54.64°, d 1.680, rel. 34
- 69.66°, d 1.350, rel. 18



# 2
# SrAg2O4
Simulated powder XRD pattern, copper Kα. Input: a DFT-relaxed cell (GGA-PBE, Alexandria).
Neutral-atom scattering factors, no anomalous dispersion.

Structure:
Cell lengths 8.193, 7.361, 6.043 Å; angles 74.64, 60.03, 45.33 degrees
Atoms (fractional coordinates):
1 Sr 0.125 0.125 0.125
2 Sr 0.875 0.875 0.875
3 Ag 0.000 0.500 0.500
4 Ag 0.500 0.000 0.500
5 Ag 0.500 0.500 0.000
6 Ag 0.500 0.500 0.500
7 O 0.173 0.350 0.731
8 O 0.246 0.731 0.350
9 O 0.269 0.754 0.827
10 O 0.350 0.173 0.246
11 O 0.650 0.827 0.754
12 O 0.731 0.246 0.173
13 O 0.754 0.269 0.650
14 O 0.827 0.650 0.269

Main lines, in order of rising 2θ (15° ≤ 2θ ≤ 90°):
- 17.11°, d 5.183, rel. 27
- 22.50°, d 3.952, rel. 22
- 25.88°, d 3.442, rel. 100
- 27.40°, d 3.256, rel. 31
- 30.72°, d 2.910, rel. 47
- 34.61°, d 2.592, rel. 51
- 38.04°, d 2.365, rel. 43
- 41.06°, d 2.198, rel. 42
- 45.92°, d 1.976, rel. 40
- 48.13°, d 1.890, rel. 25